Record 1
Starting from the PBE geometry in Alexandria, the X-ray diffraction stick pattern of K2MgAsBr6 was computed for Cu Kα X-rays.
Peak positions follow from Bragg's law for the DFT cell and can differ from measured ones.

Main lines, by angle (5° ≤ 2θ ≤ 70°):
14.26°, I = 29.3, (0 0 1); 24.50°, I = 42.0, (0 1 -2); 24.93°, I = 38.6, (1 0 -2); 27.96°, I = 30.0, (2 0 0); 28.24°, I = 100.0, (0 2 0); 28.54°, I = 21.1, (2 0 -2); 28.75°, I = 29.6, (0 0 2); 33.91°, I = 44.9, (2 -2 0); 34.88°, I = 38.9, (2 2 -2); 45.64°, I = 29.2, (-2 2 2)

Structural model:
Unit cell a=7.3396 b=7.4089 c=8.0363 alpha=117.26 beta=115.22 gamma=91.63
Space group P-1 (No. 2)
Asymmetric unit:
K1 0.2340 0.2259 0.4523
Mg1 0.5000 0.0000 0.0000
As1 0.0000 0.5000 0.0000
Br1 0.1821 0.1961 0.9952
Br2 0.2568 0.7328 0.5959
Br3 0.3567 0.7603 0.1330

Record 2
Starting from the PBE geometry in Alexandria, the X-ray diffraction stick pattern of La4AsBrO8 was computed for Cu Kα X-rays.
Peak positions follow from Bragg's law for the DFT cell and can differ from measured ones.

Main lines, by angle (5° ≤ 2θ ≤ 70°):
12.92°, I = 7.6, (0 0 2); 21.94°, I = 6.3, (2 0 1); 28.73°, I = 100.0, (2 0 3); 29.79°, I = 41.2, (2 2 0); 39.47°, I = 10.6, (0 0 6); 42.64°, I = 18.7, (4 0 0); 50.22°, I = 24.5, (2 2 6); 52.23°, I = 32.6, (2 4 3); 59.49°, I = 9.2, (4 0 6); 65.11°, I = 10.9, (2 0 9)

Structural model:
Unit cell a=8.4817 b=8.4817 c=13.6998 alpha=90.00 beta=90.00 gamma=90.00
Space group P4_2/m (No. 84)
Asymmetric unit:
La1 0.0125 0.7559 0.1664
La2 0.2441 0.4851 0.3317
As1 0.0441 0.7469 0.5000
Br1 0.2525 0.5579 0.0000
O1 0.0000 0.0000 0.2500
O2 0.0000 0.5000 0.2369
O3 0.0677 0.2534 0.3959
O4 0.0875 0.1645 0.0000
O5 0.1663 0.5829 0.5000
O6 0.2494 0.7435 0.2665
O7 0.5000 0.5000 0.2500

Record 3
Starting from the PBE geometry in Alexandria, the X-ray diffraction stick pattern of La8AsP3Br4 was computed for Cu Kα X-rays.
Peak positions follow from Bragg's law for the DFT cell and can differ from measured ones.

Main lines, by angle (5° ≤ 2θ ≤ 70°):
25.29°, I = 19.6, (2 0 2); 29.01°, I = 100.0, (0 2 4); 31.54°, I = 12.5, (2 0 5); 40.88°, I = 30.4, (2 0 8); 42.10°, I = 38.6, (2 2 0); 51.95°, I = 23.3, (4 0 4); 57.17°, I = 10.3, (2 2 9); 60.16°, I = 16.4, (0 4 8); 67.23°, I = 11.1, (2 2 12); 69.00°, I = 17.8, (2 4 4)

Structural model:
Unit cell a=8.5854 b=8.5854 c=21.9488 alpha=90.00 beta=90.00 gamma=120.00
Space group R-3m (No. 166, hexagonal axes)
Asymmetric unit:
La1 0.0000 0.0000 0.2358
La2 0.0092 0.5046 0.7632
As1 0.0000 0.0000 0.5000
P1 0.0000 0.5000 0.5000
Br1 0.0000 0.0000 0.0000
Br2 0.0000 0.5000 0.0000